Structure and computed powder diffractogram of K3TbSc2Se6 (a DFT-relaxed cell (PBE, Alexandria); Cu Kα, 1.54184 Å).
No peak broadening, texture or thermal motion is included.

Main lines, low angle first (10° ≤ 2θ ≤ 90°):
2θ (°), Rel. int., h k l
11.6, 35.2, 0 0 1
29.7, 100.0, 1 3 1
37.4, 16.7, 2 0 -3
40.5, 30.0, 2 0 2
44.3, 35.0, 0 6 0
50.8, 10.9, 1 3 -4
54.2, 16.8, 4 0 0
61.6, 8.1, 2 6 2
72.6, 13.4, 4 6 0
79.0, 7.6, 5 3 1

Structural model:
```
data_K3TbSc2Se6
_chemical_formula_sum 'K6 Tb2 Sc4 Se12'
_symmetry_space_group_name_H-M 'C 1 2/m 1'
_symmetry_Int_Tables_number 12
_cell_length_a 7.0785
_cell_length_b 12.2618
_cell_length_c 7.9995
_cell_angle_alpha 90.00
_cell_angle_beta 107.19
_cell_angle_gamma 90.00
loop_
_symmetry_equiv_pos_as_xyz
'x,y,z'
'-x,-y,-z'
'-x,y,-z'
'x,-y,z'
'x+1/2,y+1/2,z'
'-x+1/2,-y+1/2,-z'
'-x+1/2,y+1/2,-z'
'x+1/2,-y+1/2,z'
loop_
_atom_site_label
_atom_site_type_symbol
_atom_site_fract_x
_atom_site_fract_y
_atom_site_fract_z
K1 K 0.0000 0.0000 0.0000
K2 K 0.0000 0.3359 0.0000
Tb1 Tb 0.0000 0.5000 0.5000
Sc1 Sc 0.0000 0.1670 0.5000
Se1 Se 0.2199 0.0000 0.6983
Se2 Se 0.2395 0.3269 0.6989
```

=====

Structure and computed powder diffractogram of NpPa2GeN5 (a DFT-relaxed cell (PBE, Alexandria); Cu Kα, 1.54184 Å).
No peak broadening, texture or thermal motion is included.

Main lines, low angle first (10° ≤ 2θ ≤ 90°):
2θ (°), Rel. int., h k l
26.6, 42.7, 1 1 0
27.8, 97.8, 0 2 3
31.2, 47.5, 1 1 2
31.6, 80.8, 0 4 2
32.6, 41.7, 0 0 4
32.9, 100.0, 1 3 0
36.3, 95.6, 1 1 3
46.2, 40.8, 1 5 2
47.0, 50.6, 1 3 4
60.7, 39.4, 0 2 7

Structural model:
```
data_NpPa2GeN5
_chemical_formula_sum 'Np4 Pa8 Ge4 N20'
_symmetry_space_group_name_H-M 'C m c 21'
_symmetry_Int_Tables_number 36
_cell_length_a 3.4693
_cell_length_b 13.2195
_cell_length_c 10.9871
_cell_angle_alpha 90.00
_cell_angle_beta 90.00
_cell_angle_gamma 90.00
loop_
_symmetry_equiv_pos_as_xyz
'x,y,z'
'-x,-y,z+1/2'
'-x,y,z'
'x,-y,z+1/2'
'x+1/2,y+1/2,z'
'-x+1/2,-y+1/2,z+1/2'
'-x+1/2,y+1/2,z'
'x+1/2,-y+1/2,z+1/2'
loop_
_atom_site_label
_atom_site_type_symbol
_atom_site_fract_x
_atom_site_fract_y
_atom_site_fract_z
Np1 Np 0.0000 0.1964 0.0000
Pa1 Pa 0.0000 0.1291 0.7033
Pa2 Pa 0.0000 0.1297 0.2809
Ge1 Ge 0.0000 0.4925 0.5028
N1 N 0.0000 0.0304 0.1046
N2 N 0.0000 0.2950 0.3367
N3 N 0.0000 0.2947 0.6520
N4 N 0.0000 0.3641 0.0488
N5 N 0.0000 0.4831 0.8131
```

=====

Structure and computed powder diffractogram of YTe2Au (a DFT-relaxed cell (PBE, Alexandria); Cu Kα, 1.54184 Å).
No peak broadening, texture or thermal motion is included.

Main lines, low angle first (10° ≤ 2θ ≤ 90°):
2θ (°), Rel. int., h k l
25.0, 15.5, 1 0 3
26.8, 62.8, 0 0 4
29.8, 100.0, 2 0 0
40.5, 83.6, 2 0 4
42.6, 37.6, 2 2 0
51.1, 42.6, 2 2 4
64.1, 19.0, 2 0 8
68.7, 17.5, 4 0 4
70.2, 17.0, 4 2 0
76.6, 25.6, 4 2 4

Structural model:
```
data_YTe2Au
_chemical_formula_sum 'Y4 Te8 Au4'
_symmetry_space_group_name_H-M 'I 41/a m d'
_symmetry_Int_Tables_number 141
_cell_length_a 5.9969
_cell_length_b 5.9969
_cell_length_c 13.2883
_cell_angle_alpha 90.00
_cell_angle_beta 90.00
_cell_angle_gamma 90.00
loop_
_symmetry_equiv_pos_as_xyz
'x,y,z'
'-x,-y,-z'
'-y+1/4,x+3/4,z+1/4'
'y+1/4,-x+3/4,-z+1/4'
'-x+1/2,-y,z+1/2'
'x+1/2,y,-z+1/2'
'y+1/4,-x+1/4,z+3/4'
'-y+1/4,x+1/4,-z+3/4'
'x,-y,-z'
'-x,y,z'
'-y+1/4,-x+1/4,-z+3/4'
'y+1/4,x+1/4,z+3/4'
'-x+1/2,y,-z+1/2'
'x+1/2,-y,z+1/2'
'y+1/4,x+3/4,-z+1/4'
'-y+1/4,-x+3/4,z+1/4'
'x+1/2,y+1/2,z+1/2'
'-x+1/2,-y+1/2,-z+1/2'
'-y+3/4,x+1/4,z+3/4'
'y+3/4,-x+1/4,-z+3/4'
'-x,-y+1/2,z'
'x,y+1/2,-z'
'y+3/4,-x+3/4,z+1/4'
'-y+3/4,x+3/4,-z+1/4'
'x+1/2,-y+1/2,-z+1/2'
'-x+1/2,y+1/2,z+1/2'
'-y+3/4,-x+3/4,-z+1/4'
'y+3/4,x+3/4,z+1/4'
'-x,y+1/2,-z'
'x,-y+1/2,z'
'y+3/4,x+1/4,-z+3/4'
'-y+3/4,-x+1/4,z+3/4'
loop_
_atom_site_label
_atom_site_type_symbol
_atom_site_fract_x
_atom_site_fract_y
_atom_site_fract_z
Y1 Y 0.0000 0.2500 0.3750
Te1 Te 0.0000 0.2500 0.1367
Au1 Au 0.0000 0.2500 0.8750
```